(1)
Starting from a DFT-relaxed cell (PBE, Alexandria), the powder diffractogram of Pr4Er5In was calculated for Cu Ka.
Lines closer than 0.1° are merged.

Atomic structure:
Cell lengths 3.624, 4.876, 17.864 Å; angles 90.00, 90.00, 90.00 degrees
Positions (direct):
Pr (0.000, 0.000, 0.104)
Pr (0.000, 0.000, 0.303)
Pr (0.000, 0.000, 0.697)
Pr (0.000, 0.000, 0.896)
Er (0.500, 0.500, 0.000)
Er (0.500, 0.500, 0.208)
Er (0.500, 0.500, 0.411)
Er (0.500, 0.500, 0.589)
Er (0.500, 0.500, 0.792)
In (0.000, 0.000, 0.500)

The 6 most intense peaks (15° ≤ 2θ ≤ 90°), sorted by position:
Position (°2θ)  I (rel.)
30.74  100
31.03  94
35.28  68
36.87  31
51.95  44
60.35  28

***

(2)
Starting from a DFT-relaxed cell (PBE, Alexandria), the powder diffractogram of Pr2Er4In5 was calculated for Cu Ka.
Lines closer than 0.1° are merged.

Atomic structure:
Cell lengths 11.539, 10.731, 6.182 Å; angles 81.24, 66.80, 31.97 degrees
Positions (direct):
Pr (0.111, 0.111, 0.889)
Pr (0.889, 0.889, 0.111)
Er (0.204, 0.541, 0.459)
Er (0.459, 0.796, 0.204)
Er (0.541, 0.204, 0.796)
Er (0.796, 0.459, 0.541)
In (0.000, 0.000, 0.500)
In (0.250, 0.250, 0.250)
In (0.500, 0.500, 0.000)
In (0.500, 0.500, 0.500)
In (0.750, 0.750, 0.750)

The 6 most intense peaks (15° ≤ 2θ ≤ 90°), sorted by position:
Position (°2θ)  I (rel.)
29.24  54
31.79  76
33.16  100
35.02  58
36.42  64
37.36  39

***

(3)
Starting from a DFT-relaxed cell (PBE, Alexandria), the powder diffractogram of Pr4Er9In11 was calculated for Cu Ka.
Lines closer than 0.1° are merged.

Atomic structure:
Cell lengths 14.270, 14.270, 3.451 Å; angles 90.00, 90.00, 111.02 degrees
Positions (direct):
Pr (0.096, 0.258, 0.000)
Pr (0.258, 0.096, 0.000)
Pr (0.742, 0.904, 0.000)
Pr (0.904, 0.742, 0.000)
Er (0.000, 0.000, 0.000)
Er (0.111, 0.668, 0.000)
Er (0.297, 0.494, 0.000)
Er (0.332, 0.889, 0.000)
Er (0.494, 0.297, 0.000)
Er (0.506, 0.703, 0.000)
Er (0.668, 0.111, 0.000)
Er (0.703, 0.506, 0.000)
Er (0.889, 0.332, 0.000)
In (0.091, 0.463, 0.500)
In (0.122, 0.878, 0.500)
In (0.307, 0.307, 0.500)
In (0.309, 0.691, 0.500)
In (0.463, 0.091, 0.500)
In (0.500, 0.500, 0.500)
In (0.537, 0.909, 0.500)
In (0.691, 0.309, 0.500)
In (0.693, 0.693, 0.500)
In (0.878, 0.122, 0.500)
In (0.909, 0.537, 0.500)

The 6 most intense peaks (15° ≤ 2θ ≤ 90°), sorted by position:
Position (°2θ)  I (rel.)
31.80  54
32.66  91
33.64  100
34.17  91
34.63  70
38.31  72

***

(4)
Starting from a DFT-relaxed cell (PBE, Alexandria), the powder diffractogram of PrEr5In4 was calculated for Cu Ka.
Lines closer than 0.1° are merged.

Atomic structure:
Cell lengths 3.535, 3.535, 21.904 Å; angles 90.00, 90.00, 90.00 degrees
Positions (direct):
Pr (0.000, 0.000, 0.000)
Er (0.500, 0.500, 0.120)
Er (0.500, 0.500, 0.309)
Er (0.500, 0.500, 0.500)
Er (0.500, 0.500, 0.691)
Er (0.500, 0.500, 0.880)
In (0.000, 0.000, 0.214)
In (0.000, 0.000, 0.405)
In (0.000, 0.000, 0.595)
In (0.000, 0.000, 0.786)

The 6 most intense peaks (15° ≤ 2θ ≤ 90°), sorted by position:
Position (°2θ)  I (rel.)
32.55  100
35.93  44
41.21  8
51.72  16
55.81  14
62.46  31

***

(5)
Starting from a DFT-relaxed cell (PBE, Alexandria), the powder diffractogram of Pr2Er2In7 was calculated for Cu Ka.
Lines closer than 0.1° are merged.

Atomic structure:
Cell lengths 7.712, 7.712, 6.079 Å; angles 90.00, 90.00, 96.14 degrees
Positions (direct):
Pr (0.196, 0.196, 0.000)
Pr (0.804, 0.804, 0.000)
Er (0.268, 0.732, 0.500)
Er (0.732, 0.268, 0.500)
In (0.000, 0.000, 0.500)
In (0.000, 0.500, 0.239)
In (0.000, 0.500, 0.761)
In (0.500, 0.000, 0.239)
In (0.500, 0.000, 0.761)
In (0.500, 0.500, 0.238)
In (0.500, 0.500, 0.762)

The 6 most intense peaks (15° ≤ 2θ ≤ 90°), sorted by position:
Position (°2θ)  I (rel.)
21.29  39
22.62  70
31.18  65
34.82  37
37.77  100
38.85  53

***

(6)
Starting from a DFT-relaxed cell (PBE, Alexandria), the powder diffractogram of Pr4ErIn3 was calculated for Cu Ka.
Lines closer than 0.1° are merged.

Atomic structure:
Cell lengths 9.765, 9.765, 9.765 Å; angles 32.93, 32.93, 32.93 degrees
Positions (direct):
Pr (0.119, 0.119, 0.119)
Pr (0.370, 0.370, 0.370)
Pr (0.630, 0.630, 0.630)
Pr (0.881, 0.881, 0.881)
Er (0.500, 0.500, 0.500)
In (0.000, 0.000, 0.000)
In (0.242, 0.242, 0.242)
In (0.758, 0.758, 0.758)

The 6 most intense peaks (15° ≤ 2θ ≤ 90°), sorted by position:
Position (°2θ)  I (rel.)
31.90  95
32.35  100
46.07  34
57.41  35
57.69  19
76.80  15

***

(7)
Starting from a DFT-relaxed cell (PBE, Alexandria), the powder diffractogram of Pr5ErIn4 was calculated for Cu Ka.
Lines closer than 0.1° are merged.

Atomic structure:
Cell lengths 3.674, 3.674, 22.646 Å; angles 90.00, 90.00, 90.00 degrees
Positions (direct):
Pr (0.000, 0.000, 0.000)
Pr (0.000, 0.000, 0.194)
Pr (0.000, 0.000, 0.387)
Pr (0.000, 0.000, 0.613)
Pr (0.000, 0.000, 0.806)
Er (0.500, 0.500, 0.500)
In (0.500, 0.500, 0.097)
In (0.500, 0.500, 0.291)
In (0.500, 0.500, 0.709)
In (0.500, 0.500, 0.903)

The 6 most intense peaks (15° ≤ 2θ ≤ 90°), sorted by position:
Position (°2θ)  I (rel.)
31.35  100
34.53  41
39.81  11
49.63  15
53.70  18
59.89  31

***

(8)
Starting from a DFT-relaxed cell (PBE, Alexandria), the powder diffractogram of Pr2ErIn2Rh5 was calculated for Cu Ka.
Lines closer than 0.1° are merged.

Atomic structure:
Cell lengths 10.520, 10.520, 3.722 Å; angles 90.00, 90.00, 90.00 degrees
Positions (direct):
Pr (0.171, 0.329, 0.000)
Pr (0.329, 0.829, 0.000)
Pr (0.671, 0.171, 0.000)
Pr (0.829, 0.671, 0.000)
Er (0.000, 0.000, 0.000)
Er (0.500, 0.500, 0.000)
In (0.127, 0.627, 0.000)
In (0.373, 0.127, 0.000)
In (0.627, 0.873, 0.000)
In (0.873, 0.373, 0.000)
Rh (0.000, 0.500, 0.500)
Rh (0.062, 0.798, 0.500)
Rh (0.202, 0.062, 0.500)
Rh (0.298, 0.562, 0.500)
Rh (0.438, 0.298, 0.500)
Rh (0.500, 0.000, 0.500)
Rh (0.562, 0.702, 0.500)
Rh (0.702, 0.438, 0.500)
Rh (0.798, 0.938, 0.500)
Rh (0.938, 0.202, 0.500)

The 6 most intense peaks (15° ≤ 2θ ≤ 90°), sorted by position:
Position (°2θ)  I (rel.)
34.08  18
35.17  28
36.22  100
39.24  24
48.96  22
61.70  17

***

(9)
Starting from a DFT-relaxed cell (PBE, Alexandria), the powder diffractogram of Tb6Pr2Er3In was calculated for Cu Ka.
Lines closer than 0.1° are merged.

Atomic structure:
Cell lengths 6.111, 6.111, 11.752 Å; angles 94.98, 94.98, 120.03 degrees
Positions (direct):
Tb (0.084, 0.411, 0.752)
Tb (0.243, 0.243, 0.247)
Tb (0.411, 0.084, 0.752)
Tb (0.589, 0.916, 0.248)
Tb (0.757, 0.757, 0.753)
Tb (0.916, 0.589, 0.248)
Pr (0.334, 0.666, 0.500)
Pr (0.666, 0.334, 0.500)
Er (0.167, 0.833, 0.000)
Er (0.500, 0.500, 0.000)
Er (0.833, 0.167, 0.000)
In (0.000, 0.000, 0.500)

The 6 most intense peaks (15° ≤ 2θ ≤ 90°), sorted by position:
Position (°2θ)  I (rel.)
30.90  34
31.03  100
35.95  68
51.66  24
51.83  24
61.59  38

***

(10)
Starting from a DFT-relaxed cell (PBE, Alexandria), the powder diffractogram of Er2In5Pt3 was calculated for Cu Ka.
Lines closer than 0.1° are merged.

Atomic structure:
Cell lengths 13.545, 13.545, 7.488 Å; angles 90.00, 90.00, 161.47 degrees
Positions (direct):
Er (0.024, 0.976, 0.500)
Er (0.323, 0.677, 0.616)
Er (0.677, 0.323, 0.116)
Er (0.976, 0.024, 0.000)
In (0.098, 0.902, 0.890)
In (0.206, 0.794, 0.818)
In (0.207, 0.793, 0.410)
In (0.376, 0.624, 0.041)
In (0.446, 0.554, 0.663)
In (0.554, 0.446, 0.163)
In (0.624, 0.376, 0.541)
In (0.793, 0.207, 0.910)
In (0.794, 0.206, 0.318)
In (0.902, 0.098, 0.390)
Pt (0.112, 0.888, 0.275)
Pt (0.268, 0.732, 0.115)
Pt (0.458, 0.542, 0.281)
Pt (0.542, 0.458, 0.781)
Pt (0.732, 0.268, 0.615)
Pt (0.888, 0.112, 0.775)

The 6 most intense peaks (15° ≤ 2θ ≤ 90°), sorted by position:
Position (°2θ)  I (rel.)
31.68  37
33.10  100
33.40  85
36.61  38
41.44  99
42.97  40

***

(11)
Starting from a DFT-relaxed cell (PBE, Alexandria), the powder diffractogram of Er6In2Pt was calculated for Cu Ka.
Lines closer than 0.1° are merged.

Atomic structure:
Cell lengths 3.793, 8.631, 8.631 Å; angles 119.99, 90.00, 90.00 degrees
Positions (direct):
Er (0.000, 0.000, 0.000)
Er (0.000, 0.505, 0.752)
Er (0.000, 0.752, 0.505)
Er (0.500, 0.144, 0.752)
Er (0.500, 0.360, 0.360)
Er (0.500, 0.752, 0.144)
In (0.000, 0.085, 0.419)
In (0.000, 0.419, 0.085)
Pt (0.500, 0.753, 0.753)

The 6 most intense peaks (15° ≤ 2θ ≤ 90°), sorted by position:
Position (°2θ)  I (rel.)
31.40  100
31.67  61
33.67  85
36.05  55
39.79  49
59.13  43

***

(12)
Starting from a DFT-relaxed cell (PBE, Alexandria), the powder diffractogram of Er5InPt was calculated for Cu Ka.
Lines closer than 0.1° are merged.

Atomic structure:
Cell lengths 6.447, 6.447, 11.344 Å; angles 105.54, 105.54, 64.02 degrees
Positions (direct):
Er (0.015, 0.985, 0.750)
Er (0.047, 0.404, 0.641)
Er (0.215, 0.531, 0.953)
Er (0.404, 0.047, 0.141)
Er (0.469, 0.785, 0.547)
Er (0.531, 0.215, 0.453)
Er (0.596, 0.953, 0.859)
Er (0.785, 0.469, 0.047)
Er (0.953, 0.596, 0.359)
Er (0.985, 0.015, 0.250)
In (0.465, 0.535, 0.250)
In (0.535, 0.465, 0.750)
Pt (0.000, 0.000, 0.000)
Pt (0.000, 0.000, 0.500)

The 6 most intense peaks (15° ≤ 2θ ≤ 90°), sorted by position:
Position (°2θ)  I (rel.)
30.99  66
31.35  70
31.68  43
32.30  100
33.28  32
42.77  27